Entry 1:
The following is a simulated XRD peak list of CoReRu. It was derived from a cell relaxed with GGA-PBE, using CuKα.
No peak broadening, texture or thermal motion is included.

Peak list (10 most intense, 2θ from 10° to 80°, by intensity)
2theta	Rel. int.
42.14	100
43.48	89
24.69	36
78.88	32
62.15	32
79.81	15
56.04	14
33.59	10
70.61	7
50.64	6

Structure:
Cell: 4.163 4.163 2.668 Å, 90.00 90.00 120.00°
Atoms (fractional coordinates):
Co (0.000, 0.000, 0.000)
Re (0.667, 0.333, 0.000)
Ru (0.333, 0.667, 0.500)

Entry 2:
The following is a simulated XRD peak list of Pm6NdDy2Tm. It was derived from a cell relaxed with GGA-PBE, using CuKα.
No peak broadening, texture or thermal motion is included.

Peak list (10 most intense, 2θ from 10° to 80°, by intensity)
2theta	Rel. int.
30.87	100
30.41	60
30.11	54
33.62	41
28.18	40
31.17	37
27.83	21
31.94	21
59.02	20
37.17	16

Structure:
Cell: 8.926 8.926 9.631 Å, 93.58 93.58 117.51°
Atoms (fractional coordinates):
Pm (0.009, 0.564, 0.187)
Pm (0.119, 0.758, 0.555)
Pm (0.242, 0.881, 0.945)
Pm (0.292, 0.511, 0.382)
Pm (0.436, 0.991, 0.313)
Pm (0.489, 0.708, 0.118)
Pm (0.511, 0.292, 0.882)
Pm (0.564, 0.009, 0.687)
Pm (0.708, 0.489, 0.618)
Pm (0.758, 0.119, 0.055)
Pm (0.881, 0.242, 0.445)
Pm (0.991, 0.436, 0.813)
Nd (0.027, 0.973, 0.250)
Nd (0.973, 0.027, 0.750)
Dy (0.203, 0.303, 0.047)
Dy (0.303, 0.203, 0.547)
Dy (0.697, 0.797, 0.453)
Dy (0.797, 0.697, 0.953)
Tm (0.411, 0.589, 0.750)
Tm (0.589, 0.411, 0.250)

Entry 3:
The following is a simulated XRD peak list of Pm2Nb3Ge4. It was derived from a cell relaxed with GGA-PBE, using CuKα.
No peak broadening, texture or thermal motion is included.

Peak list (10 most intense, 2θ from 10° to 80°, by intensity)
2theta	Rel. int.
35.56	100
35.29	100
39.85	53
39.57	47
32.72	33
32.90	33
36.05	30
39.69	26
39.46	26
53.55	19

Structure:
Cell: 7.260 7.259 7.142 Å, 90.00 109.30 90.00°
Atoms (fractional coordinates):
Pm (0.187, 0.170, 0.060)
Pm (0.187, 0.330, 0.560)
Pm (0.813, 0.670, 0.440)
Pm (0.813, 0.830, 0.940)
Nb (0.258, 0.672, 0.247)
Nb (0.258, 0.828, 0.747)
Nb (0.500, 0.000, 0.500)
Nb (0.500, 0.500, 0.000)
Nb (0.742, 0.172, 0.253)
Nb (0.742, 0.328, 0.753)
Ge (0.088, 0.542, 0.863)
Ge (0.088, 0.958, 0.363)
Ge (0.495, 0.131, 0.867)
Ge (0.495, 0.369, 0.367)
Ge (0.505, 0.631, 0.633)
Ge (0.505, 0.869, 0.133)
Ge (0.912, 0.042, 0.637)
Ge (0.912, 0.458, 0.137)

Entry 4:
The following is a simulated XRD peak list of Pb3I5Br. It was derived from a cell relaxed with GGA-PBE, using CuKα.
No peak broadening, texture or thermal motion is included.

Peak list (10 most intense, 2θ from 10° to 80°, by intensity)
2theta	Rel. int.
40.30	100
32.06	91
16.75	84
32.54	74
16.30	70
24.72	58
25.03	52
21.90	51
37.44	40
32.94	37

Structure:
Cell: 16.786 16.786 4.804 Å, 90.00 90.00 142.20°
Atoms (fractional coordinates):
Pb (0.000, 0.000, 0.000)
Pb (0.159, 0.841, 0.500)
Pb (0.330, 0.670, 0.000)
Pb (0.500, 0.500, 0.500)
Pb (0.670, 0.330, 0.000)
Pb (0.841, 0.159, 0.500)
I (0.131, 0.467, 0.500)
I (0.201, 0.201, 0.500)
I (0.227, 0.773, 0.000)
I (0.432, 0.568, 0.000)
I (0.467, 0.131, 0.500)
I (0.533, 0.869, 0.500)
I (0.568, 0.432, 0.000)
I (0.773, 0.227, 0.000)
I (0.799, 0.799, 0.500)
I (0.869, 0.533, 0.500)
Br (0.097, 0.903, 0.000)
Br (0.903, 0.097, 0.000)

Entry 5:
The following is a simulated XRD peak list of ZrTaCo5. It was derived from a cell relaxed with GGA-PBE, using CuKα.
No peak broadening, texture or thermal motion is included.

Peak list (10 most intense, 2θ from 10° to 80°, by intensity)
2theta	Rel. int.
40.49	100
47.43	47
45.80	46
48.78	41
38.12	33
38.01	30
35.02	29
43.60	25
70.50	22
70.42	21

Structure:
Cell: 7.833 4.721 9.935 Å, 90.00 90.00 90.00°
Atoms (fractional coordinates):
Zr (0.244, 0.250, 0.057)
Zr (0.256, 0.750, 0.557)
Zr (0.744, 0.250, 0.443)
Zr (0.756, 0.750, 0.943)
Ta (0.133, 0.250, 0.356)
Ta (0.367, 0.750, 0.856)
Ta (0.633, 0.250, 0.144)
Ta (0.867, 0.750, 0.644)
Co (0.045, 0.250, 0.592)
Co (0.067, 0.502, 0.809)
Co (0.067, 0.998, 0.809)
Co (0.094, 0.750, 0.018)
Co (0.191, 0.750, 0.246)
Co (0.309, 0.250, 0.746)
Co (0.406, 0.250, 0.518)
Co (0.433, 0.002, 0.309)
Co (0.433, 0.498, 0.309)
Co (0.455, 0.750, 0.092)
Co (0.545, 0.250, 0.908)
Co (0.567, 0.502, 0.691)
Co (0.567, 0.998, 0.691)
Co (0.594, 0.750, 0.482)
Co (0.691, 0.750, 0.254)
Co (0.809, 0.250, 0.754)
Co (0.906, 0.250, 0.982)
Co (0.933, 0.002, 0.191)
Co (0.933, 0.498, 0.191)
Co (0.955, 0.750, 0.408)

Entry 6:
The following is a simulated XRD peak list of Tl6HgSe4. It was derived from a cell relaxed with GGA-PBE, using CuKα.
No peak broadening, texture or thermal motion is included.

Peak list (10 most intense, 2θ from 10° to 80°, by intensity)
2theta	Rel. int.
33.61	100
30.94	98
28.25	77
22.68	35
31.46	23
57.27	22
50.94	21
25.90	20
37.69	18
29.35	17

Structure:
Cell: 10.667 10.667 7.412 Å, 90.00 90.00 120.00°
Atoms (fractional coordinates):
Tl (0.061, 0.530, 0.000)
Tl (0.156, 0.311, 0.678)
Tl (0.156, 0.844, 0.678)
Tl (0.311, 0.156, 0.178)
Tl (0.470, 0.530, 0.000)
Tl (0.470, 0.939, 0.000)
Tl (0.530, 0.061, 0.500)
Tl (0.530, 0.470, 0.500)
Tl (0.689, 0.844, 0.678)
Tl (0.844, 0.156, 0.178)
Tl (0.844, 0.689, 0.178)
Tl (0.939, 0.470, 0.500)
Hg (0.333, 0.667, 0.361)
Hg (0.667, 0.333, 0.861)
Se (0.190, 0.380, 0.263)
Se (0.190, 0.810, 0.263)
Se (0.333, 0.667, 0.744)
Se (0.380, 0.190, 0.763)
Se (0.620, 0.810, 0.263)
Se (0.667, 0.333, 0.244)
Se (0.810, 0.190, 0.763)
Se (0.810, 0.620, 0.763)

Entry 7:
The following is a simulated XRD peak list of AgSn3Pb12. It was derived from a cell relaxed with GGA-PBE, using CuKα.
No peak broadening, texture or thermal motion is included.

Peak list (10 most intense, 2θ from 10° to 80°, by intensity)
2theta	Rel. int.
33.25	100
30.01	33
31.62	26
55.37	24
44.15	21
57.36	17
69.81	12
74.25	12
60.43	11
61.37	8

Structure:
Cell: 3.574 5.956 22.634 Å, 90.00 90.00 90.00°
Atoms (fractional coordinates):
Ag (0.000, 0.000, 0.000)
Sn (0.000, 0.000, 0.238)
Sn (0.000, 0.000, 0.500)
Sn (0.000, 0.000, 0.762)
Pb (0.000, 0.500, 0.127)
Pb (0.000, 0.500, 0.377)
Pb (0.000, 0.500, 0.623)
Pb (0.000, 0.500, 0.873)
Pb (0.500, 0.000, 0.110)
Pb (0.500, 0.000, 0.370)
Pb (0.500, 0.000, 0.630)
Pb (0.500, 0.000, 0.890)
Pb (0.500, 0.500, 0.000)
Pb (0.500, 0.500, 0.252)
Pb (0.500, 0.500, 0.500)
Pb (0.500, 0.500, 0.748)

Entry 8:
The following is a simulated XRD peak list of Be23V6. It was derived from a cell relaxed with GGA-PBE, using CuKα.
No peak broadening, texture or thermal motion is included.

Peak list (10 most intense, 2θ from 10° to 80°, by intensity)
2theta	Rel. int.
46.59	100
15.15	78
30.57	54
38.75	54
17.51	44
43.78	41
35.44	27
54.34	25
51.00	21
65.84	19

Structure:
Cell: 7.163 7.163 7.163 Å, 60.00 60.00 60.00°
Atoms (fractional coordinates):
Be (0.000, 0.000, 0.000)
Be (0.000, 0.000, 0.500)
Be (0.000, 0.500, 0.000)
Be (0.000, 0.500, 0.500)
Be (0.020, 0.327, 0.327)
Be (0.120, 0.120, 0.120)
Be (0.120, 0.120, 0.639)
Be (0.120, 0.639, 0.120)
Be (0.327, 0.020, 0.327)
Be (0.327, 0.327, 0.020)
Be (0.327, 0.327, 0.327)
Be (0.361, 0.880, 0.880)
Be (0.500, 0.000, 0.000)
Be (0.500, 0.000, 0.500)
Be (0.500, 0.500, 0.000)
Be (0.639, 0.120, 0.120)
Be (0.673, 0.673, 0.673)
Be (0.673, 0.673, 0.980)
Be (0.673, 0.980, 0.673)
Be (0.880, 0.361, 0.880)
Be (0.880, 0.880, 0.361)
Be (0.880, 0.880, 0.880)
Be (0.980, 0.673, 0.673)
V (0.312, 0.312, 0.688)
V (0.312, 0.688, 0.312)
V (0.312, 0.688, 0.688)
V (0.688, 0.312, 0.312)
V (0.688, 0.312, 0.688)
V (0.688, 0.688, 0.312)

> What is the formula in the seventh record?

AgSn3Pb12

What did the seventh record say?
The following is a simulated XRD peak list of AgSn3Pb12. It was derived from a cell relaxed with GGA-PBE, using CuKα.
No peak broadening, texture or thermal motion is included.

Peak list (10 most intense, 2θ from 10° to 80°, by intensity)
2theta	Rel. int.
33.25	100
30.01	33
31.62	26
55.37	24
44.15	21
57.36	17
69.81	12
74.25	12
60.43	11
61.37	8

Structure:
Cell: 3.574 5.956 22.634 Å, 90.00 90.00 90.00°
Atoms (fractional coordinates):
Ag (0.000, 0.000, 0.000)
Sn (0.000, 0.000, 0.238)
Sn (0.000, 0.000, 0.500)
Sn (0.000, 0.000, 0.762)
Pb (0.000, 0.500, 0.127)
Pb (0.000, 0.500, 0.377)
Pb (0.000, 0.500, 0.623)
Pb (0.000, 0.500, 0.873)
Pb (0.500, 0.000, 0.110)
Pb (0.500, 0.000, 0.370)
Pb (0.500, 0.000, 0.630)
Pb (0.500, 0.000, 0.890)
Pb (0.500, 0.500, 0.000)
Pb (0.500, 0.500, 0.252)
Pb (0.500, 0.500, 0.500)
Pb (0.500, 0.500, 0.748)

Please write out number 8 again, unchanged.
The following is a simulated XRD peak list of Be23V6. It was derived from a cell relaxed with GGA-PBE, using CuKα.
No peak broadening, texture or thermal motion is included.

Peak list (10 most intense, 2θ from 10° to 80°, by intensity)
2theta	Rel. int.
46.59	100
15.15	78
30.57	54
38.75	54
17.51	44
43.78	41
35.44	27
54.34	25
51.00	21
65.84	19

Structure:
Cell: 7.163 7.163 7.163 Å, 60.00 60.00 60.00°
Atoms (fractional coordinates):
Be (0.000, 0.000, 0.000)
Be (0.000, 0.000, 0.500)
Be (0.000, 0.500, 0.000)
Be (0.000, 0.500, 0.500)
Be (0.020, 0.327, 0.327)
Be (0.120, 0.120, 0.120)
Be (0.120, 0.120, 0.639)
Be (0.120, 0.639, 0.120)
Be (0.327, 0.020, 0.327)
Be (0.327, 0.327, 0.020)
Be (0.327, 0.327, 0.327)
Be (0.361, 0.880, 0.880)
Be (0.500, 0.000, 0.000)
Be (0.500, 0.000, 0.500)
Be (0.500, 0.500, 0.000)
Be (0.639, 0.120, 0.120)
Be (0.673, 0.673, 0.673)
Be (0.673, 0.673, 0.980)
Be (0.673, 0.980, 0.673)
Be (0.880, 0.361, 0.880)
Be (0.880, 0.880, 0.361)
Be (0.880, 0.880, 0.880)
Be (0.980, 0.673, 0.673)
V (0.312, 0.312, 0.688)
V (0.312, 0.688, 0.312)
V (0.312, 0.688, 0.688)
V (0.688, 0.312, 0.312)
V (0.688, 0.312, 0.688)
V (0.688, 0.688, 0.312)